# 1
Theoretical powder diffraction line list of CuSb2O4 for Cu Kα, from a DFT-relaxed cell (PBE, Alexandria).

a b c (Å): 9.059 9.059 5.890
angles (deg): 90.00 90.00 90.00
Space group P4_2/mbc (No. 135)
Asymmetric unit:
Cu 0.000 0.500 0.250
Sb 0.149 0.195 0.000
O 0.088 0.382 0.500
O 0.202 0.702 0.250

Main lines, in order of rising 2θ (2θ from 10° to 80°):
| 2theta | intensity | hkl |
| --- | --- | --- |
| 26.7 | 100 | 2 1 1 |
| 27.9 | 18 | 2 2 0 |
| 31.2 | 27 | 3 1 0 |
| 36.4 | 20 | 2 0 2 |
| 44.0 | 25 | 4 1 1 |
| 53.0 | 20 | 3 3 2 |

# 2
Theoretical powder diffraction line list of In2GeBr for Cu Kα, from a DFT-relaxed cell (PBE, Alexandria).

a b c (Å): 6.558 6.558 13.838
angles (deg): 90.00 90.00 90.00
Space group I-42d (No. 122)
Asymmetric unit:
In 0.201 0.250 0.125
Ge 0.000 0.000 0.000
Br 0.000 0.000 0.500

Main lines, in order of rising 2θ (2θ from 10° to 80°):
| 2theta | intensity | hkl |
| --- | --- | --- |
| 23.1 | 100 | 1 1 2 |
| 37.8 | 51 | 2 0 4 |
| 38.8 | 21 | 2 2 0 |
| 43.8 | 18 | 1 1 6 |
| 45.7 | 25 | 3 1 2 |
| 60.0 | 11 | 3 1 6 |